The following is a calculated PXRD pattern of BaSnAu2. It was derived from the PBE geometry in Alexandria, using a wavelength of 1.5418 Å.

Atomic structure:
```
data_BaSnAu2
_space_group_name_H-M_alt 'P 41'
_space_group_IT_number 76
_space_group_name_Hall 'P 4w'
_cell_length_a 4.8893
_cell_length_b 4.8893
_cell_length_c 20.4510
_cell_angle_alpha 90.00
_cell_angle_beta 90.00
_cell_angle_gamma 90.00
loop_
_atom_site_label
_atom_site_type_symbol
_atom_site_fract_x
_atom_site_fract_y
_atom_site_fract_z
_atom_site_occupancy
Ba1 Ba 0.0643 0.9111 0.0000 1
Sn1 Sn 0.3172 0.4062 0.8423 1
Au1 Au 0.0924 0.5197 0.1339 1
Au2 Au 0.4042 0.5832 0.4609 1
```

Top 10 peaks for 2θ from 10° to 90°, in order of falling intensity:
2θ (°), I/Imax
31.23, 100
37.04, 84
20.13, 69
28.96, 59
39.79, 41
18.14, 35
47.13, 35
32.01, 33
42.27, 28
44.06, 28

The following is a calculated PXRD pattern of BaSn4Au6. It was derived from the PBE geometry in Alexandria, using a wavelength of 1.5418 Å.

Atomic structure:
```
data_BaSn4Au6
_space_group_name_H-M_alt 'I -4 2 m'
_space_group_IT_number 121
_space_group_name_Hall 'I -4 2'
_cell_length_a 7.3313
_cell_length_b 7.3313
_cell_length_c 10.4808
_cell_angle_alpha 90.00
_cell_angle_beta 90.00
_cell_angle_gamma 90.00
loop_
_atom_site_label
_atom_site_type_symbol
_atom_site_fract_x
_atom_site_fract_y
_atom_site_fract_z
_atom_site_occupancy
Ba1 Ba 0.0000 0.0000 0.0000 1
Sn1 Sn 0.1883 0.1883 0.6470 1
Au1 Au 0.0000 0.5000 0.0000 1
Au2 Au 0.1918 0.1918 0.3759 1
```

Top 10 peaks for 2θ from 10° to 90°, in order of falling intensity:
2θ (°), I/Imax
42.40, 100
34.61, 64
37.80, 56
29.74, 49
38.82, 45
28.53, 40
28.30, 37
52.04, 36
24.15, 35
45.29, 25

The following is a calculated PXRD pattern of BaSnAu11. It was derived from the PBE geometry in Alexandria, using a wavelength of 1.5418 Å.

Atomic structure:
```
data_BaSnAu11
_space_group_name_H-M_alt 'C 1 2/m 1'
_space_group_IT_number 12
_space_group_name_Hall '-C 2y'
_cell_length_a 5.6177
_cell_length_b 13.1994
_cell_length_c 7.6366
_cell_angle_alpha 90.00
_cell_angle_beta 106.78
_cell_angle_gamma 90.00
loop_
_atom_site_label
_atom_site_type_symbol
_atom_site_fract_x
_atom_site_fract_y
_atom_site_fract_z
_atom_site_occupancy
Ba1 Ba 0.0000 0.0000 0.0000 1
Sn1 Sn 0.0000 0.5000 0.5000 1
Au1 Au 0.0000 0.0000 0.5000 1
Au2 Au 0.0830 0.3908 0.2158 1
Au3 Au 0.1272 0.1842 0.3486 1
Au4 Au 0.2500 0.2500 0.0000 1
```

Top 10 peaks for 2θ from 10° to 90°, in order of falling intensity:
2θ (°), I/Imax
37.93, 100
36.69, 71
42.31, 51
38.88, 42
39.40, 42
41.47, 35
34.08, 34
36.06, 28
36.45, 25
64.47, 23

The following is a calculated PXRD pattern of Ba3Sn4Au4. It was derived from the PBE geometry in Alexandria, using a wavelength of 1.5418 Å.

Atomic structure:
```
data_Ba3Sn4Au4
_space_group_name_H-M_alt 'P -1'
_space_group_IT_number 2
_space_group_name_Hall '-P 1'
_cell_length_a 4.7537
_cell_length_b 4.8096
_cell_length_c 14.7709
_cell_angle_alpha 99.34
_cell_angle_beta 99.23
_cell_angle_gamma 90.04
loop_
_atom_site_label
_atom_site_type_symbol
_atom_site_fract_x
_atom_site_fract_y
_atom_site_fract_z
_atom_site_occupancy
Ba1 Ba 0.0000 0.0000 0.0000 1
Ba2 Ba 0.1482 0.6471 0.2948 1
Sn1 Sn 0.2510 0.2510 0.5017 1
Sn2 Sn 0.4011 0.9031 0.8052 1
Au1 Au 0.3056 0.8062 0.6119 1
Au2 Au 0.4492 0.4509 0.9011 1
```

Top 10 peaks for 2θ from 10° to 90°, in order of falling intensity:
2θ (°), I/Imax
29.19, 100
28.72, 69
37.40, 51
37.85, 49
39.22, 46
27.09, 42
41.21, 41
54.26, 35
47.82, 34
18.92, 34

The following is a calculated PXRD pattern of Ba2Sn3Au4. It was derived from the PBE geometry in Alexandria, using a wavelength of 1.5418 Å.

Atomic structure:
```
data_Ba2Sn3Au4
_space_group_name_H-M_alt 'C m c e'
_space_group_IT_number 64
_space_group_name_Hall '-C 2ac 2'
_cell_length_a 6.8230
_cell_length_b 17.0223
_cell_length_c 8.2711
_cell_angle_alpha 90.00
_cell_angle_beta 90.00
_cell_angle_gamma 90.00
loop_
_atom_site_label
_atom_site_type_symbol
_atom_site_fract_x
_atom_site_fract_y
_atom_site_fract_z
_atom_site_occupancy
Ba1 Ba 0.0000 0.1082 0.0869 1
Sn1 Sn 0.0000 0.0000 0.5000 1
Sn2 Sn 0.2500 0.2251 0.7500 1
Au1 Au 0.0000 0.1828 0.4726 1
Au2 Au 0.2500 0.0554 0.7500 1
```

Top 10 peaks for 2θ from 10° to 90°, in order of falling intensity:
2θ (°), I/Imax
34.07, 100
31.29, 72
30.21, 54
34.19, 34
33.39, 25
38.48, 22
49.44, 20
53.74, 18
42.88, 15
35.48, 15

The following is a calculated PXRD pattern of Ba3SrAu2. It was derived from the PBE geometry in Alexandria, using a wavelength of 1.5418 Å.

Atomic structure:
```
data_Ba3SrAu2
_space_group_name_H-M_alt 'C 1 2/m 1'
_space_group_IT_number 12
_space_group_name_Hall '-C 2y'
_cell_length_a 20.1554
_cell_length_b 4.7682
_cell_length_c 14.9934
_cell_angle_alpha 90.00
_cell_angle_beta 126.43
_cell_angle_gamma 90.00
loop_
_atom_site_label
_atom_site_type_symbol
_atom_site_fract_x
_atom_site_fract_y
_atom_site_fract_z
_atom_site_occupancy
Ba1 Ba 0.0601 0.0000 0.1920 1
Ba2 Ba 0.1854 0.0000 0.5579 1
Ba3 Ba 0.1869 0.5000 0.0535 1
Sr1 Sr 0.0586 0.5000 0.6915 1
Au1 Au 0.1233 0.0000 0.8649 1
Au2 Au 0.1243 0.5000 0.3752 1
```

Top 10 peaks for 2θ from 10° to 90°, in order of falling intensity:
2θ (°), I/Imax
26.96, 100
12.01, 51
37.76, 42
39.23, 36
21.91, 31
47.01, 22
39.76, 18
63.87, 16
35.80, 14
61.79, 13

The following is a calculated PXRD pattern of BaSr2Au. It was derived from the PBE geometry in Alexandria, using a wavelength of 1.5418 Å.

Atomic structure:
```
data_BaSr2Au
_space_group_name_H-M_alt 'R -3 m'
_space_group_IT_number 166
_space_group_name_Hall '-R 3 2"'
_cell_length_a 4.5146
_cell_length_b 4.5146
_cell_length_c 32.7042
_cell_angle_alpha 90.00
_cell_angle_beta 90.00
_cell_angle_gamma 120.00
loop_
_atom_site_label
_atom_site_type_symbol
_atom_site_fract_x
_atom_site_fract_y
_atom_site_fract_z
_atom_site_occupancy
Ba1 Ba 0.0000 0.0000 0.0000 1
Sr1 Sr 0.0000 0.0000 0.2201 1
Au1 Au 0.0000 0.0000 0.5000 1
```

Top 10 peaks for 2θ from 10° to 90°, in order of falling intensity:
2θ (°), I/Imax
25.25, 100
39.94, 37
31.67, 31
35.80, 28
16.26, 28
45.22, 23
47.84, 18
29.80, 18
66.00, 16
23.39, 15

The following is a calculated PXRD pattern of Ba6SrAu4. It was derived from the PBE geometry in Alexandria, using a wavelength of 1.5418 Å.

Atomic structure:
```
data_Ba6SrAu4
_space_group_name_H-M_alt 'I -4 2 m'
_space_group_IT_number 121
_space_group_name_Hall 'I -4 2'
_cell_length_a 7.0397
_cell_length_b 7.0397
_cell_length_c 18.2510
_cell_angle_alpha 90.00
_cell_angle_beta 90.00
_cell_angle_gamma 90.00
loop_
_atom_site_label
_atom_site_type_symbol
_atom_site_fract_x
_atom_site_fract_y
_atom_site_fract_z
_atom_site_occupancy
Ba1 Ba 0.0000 0.5000 0.0000 1
Ba2 Ba 0.2272 0.2272 0.3193 1
Sr1 Sr 0.0000 0.0000 0.0000 1
Au1 Au 0.2227 0.2227 0.1320 1
```

Top 10 peaks for 2θ from 10° to 90°, in order of falling intensity:
2θ (°), I/Imax
32.12, 100
36.09, 63
27.15, 62
34.56, 62
25.30, 53
20.32, 37
50.83, 34
53.47, 25
29.36, 24
47.18, 23